Entry 1:
The following is a computed powder diffractogram of PmSiTe. It was derived from DFT lattice parameters and positions (PBE), using Cu Kα, 1.54184 Å.

Main lines, in order of rising 2θ (2θ from 5° to 70°):
| 2theta | d/Å | I/Imax | hkl |
| --- | --- | --- | --- |
| 22.04 | 4.033 | 4 | 1 1 1 |
| 25.50 | 3.492 | 82 | 2 0 0 |
| 36.38 | 2.470 | 100 | 2 2 0 |
| 42.94 | 2.106 | 2 | 3 1 1 |
| 44.96 | 2.016 | 24 | 2 2 2 |
| 52.40 | 1.746 | 17 | 4 0 0 |
| 57.51 | 1.602 | 1 | 3 3 1 |
| 59.15 | 1.562 | 32 | 4 2 0 |
| 65.46 | 1.426 | 36 | 4 2 2 |
| 69.99 | 1.344 | 1 | 5 1 1 |

Cell and atoms:
Unit cell a=6.9850 b=6.9850 c=6.9850 alpha=90.00 beta=90.00 gamma=90.00
Space group F-43m (No. 216)
Asymmetric unit:
Pm 0.0000 0.0000 0.0000 [4 per cell]
Si 0.2500 0.2500 0.2500 [4 per cell]
Te 0.0000 0.0000 0.5000 [4 per cell]

***

Entry 2:
The following is a computed powder diffractogram of Pm5TlSi2. It was derived from DFT lattice parameters and positions (PBE), using Cu Kα, 1.54184 Å.

Main lines, in order of rising 2θ (2θ from 5° to 70°):
| 2theta | d/Å | I/Imax | hkl |
| --- | --- | --- | --- |
| 15.98 | 5.547 | 23 | 1 1 0 |
| 26.13 | 3.411 | 47 | 2 1 1 |
| 29.31 | 3.047 | 59 | 1 1 4 |
| 31.45 | 2.845 | 88 | 2 1 3 |
| 32.28 | 2.773 | 36 | 2 2 0 |
| 33.56 | 2.670 | 100 | 2 0 4 |
| 36.21 | 2.481 | 74 | 3 1 0 |
| 51.59 | 1.772 | 23 | 4 1 3 |
| 55.75 | 1.649 | 40 | 3 3 4 |
| 63.31 | 1.469 | 24 | 3 1 8 |

Cell and atoms:
Unit cell a=7.8443 b=7.8443 c=14.5836 alpha=90.00 beta=90.00 gamma=90.00
Space group I4/mcm (No. 140)
Asymmetric unit:
Pm 0.0000 0.0000 0.0000 [4 per cell]
Pm 0.1740 0.3260 0.1384 [16 per cell]
Tl 0.0000 0.0000 0.2500 [4 per cell]
Si 0.1193 0.3807 0.5000 [8 per cell]